# 1
Starting from the PBE+U geometry in the Materials Project, the powder diffractogram of Li9Mn2Co5O16 was simulated for copper Kα.
No peak broadening, texture or thermal motion is included.

Cell and atoms:
a = 2.9955 Å, b = 9.9127 Å, c = 10.2885 Å
α = 73.41°, β = 82.35°, γ = 88.10°
Space group P1 (No. 1)
One atom of each set of equivalent atoms:
Li: 0.0000 0.0000 0.0000 (multiplicity 1)
Li: 0.0417 0.2947 0.8826 (multiplicity 1)
Li: 0.1854 0.9294 0.6220 (multiplicity 1)
Li: 0.3028 0.5536 0.3745 (multiplicity 1)
Li: 0.4285 0.1703 0.1184 (multiplicity 1)
Li: 0.5411 0.8039 0.8824 (multiplicity 1)
Li: 0.6845 0.4329 0.6213 (multiplicity 1)
Li: 0.8069 0.0526 0.3738 (multiplicity 1)
Li: 0.9281 0.6794 0.1284 (multiplicity 1)
Mn: 0.1132 0.6175 0.7501 (multiplicity 1)
Mn: 0.6041 0.1122 0.7561 (multiplicity 1)
Co: 0.2400 0.2370 0.4995 (multiplicity 1)
Co: 0.3711 0.8715 0.2392 (multiplicity 1)
Co: 0.4803 0.4895 0.0039 (multiplicity 1)
Co: 0.7471 0.7415 0.4947 (multiplicity 1)
Co: 0.8670 0.3627 0.2528 (multiplicity 1)
O: 0.0085 0.6416 0.9345 (multiplicity 1)
O: 0.0936 0.9793 0.8044 (multiplicity 1)
O: 0.1260 0.2512 0.6849 (multiplicity 1)
O: 0.2163 0.5911 0.5665 (multiplicity 1)
O: 0.2727 0.8866 0.4248 (multiplicity 1)
O: 0.3476 0.2168 0.3198 (multiplicity 1)
O: 0.3947 0.5130 0.1850 (multiplicity 1)
O: 0.4467 0.8345 0.0827 (multiplicity 1)
O: 0.5314 0.1482 0.9223 (multiplicity 1)
O: 0.5341 0.4660 0.8202 (multiplicity 1)
O: 0.6600 0.0923 0.5655 (multiplicity 1)
O: 0.6931 0.7699 0.6776 (multiplicity 1)
O: 0.7931 0.7177 0.3165 (multiplicity 1)
O: 0.8247 0.3871 0.4357 (multiplicity 1)
O: 0.9242 0.0087 0.1939 (multiplicity 1)
O: 0.9562 0.3400 0.0708 (multiplicity 1)

Principal peaks in the range 10° ≤ 2θ ≤ 90°, by intensity:
hkl 0 2 1, 2θ 18.30, I 100
hkl 1 3 0, 2θ 41.82, I 32
hkl 1 -3 1, 2θ 43.59, I 28
hkl 0 2 5, 2θ 44.84, I 25
hkl 1 1 -1, 2θ 34.79, I 18
hkl 2 0 1, 2θ 61.99, I 16
hkl 1 -1 2, 2θ 35.97, I 13
hkl 0 0 4, 2θ 36.77, I 11
hkl 1 5 5, 2θ 62.79, I 8
hkl 1 1 -5, 2θ 63.16, I 7

---

# 2
Starting from the PBE+U geometry in the Materials Project, the powder diffractogram of Li7Mn5O12 was simulated for copper Kα.
No peak broadening, texture or thermal motion is included.

Cell and atoms:
a = 5.4320 Å, b = 2.8763 Å, c = 29.7339 Å
α = 90.00°, β = 94.55°, γ = 90.00°
Space group C2/m (No. 12)
One atom of each set of equivalent atoms:
Li: 0.0000 0.0000 0.0000 (multiplicity 2)
Li: 0.0008 0.0000 0.2500 (multiplicity 4)
Li: 0.1517 0.5000 0.9218 (multiplicity 4)
Li: 0.1671 0.5000 0.4168 (multiplicity 4)
Mn: 0.0000 0.0000 0.5000 (multiplicity 2)
Mn: 0.1668 0.5000 0.6665 (multiplicity 4)
Mn: 0.1702 0.5000 0.1670 (multiplicity 4)
O: 0.0098 0.0000 0.1317 (multiplicity 4)
O: 0.0211 0.0000 0.6280 (multiplicity 4)
O: 0.1454 0.5000 0.5385 (multiplicity 4)
O: 0.1641 0.5000 0.0424 (multiplicity 4)
O: 0.1803 0.5000 0.7944 (multiplicity 4)
O: 0.1875 0.5000 0.2950 (multiplicity 4)

Principal peaks in the range 10° ≤ 2θ ≤ 90°, by intensity:
hkl 0 0 6, 2θ 17.96, I 100
hkl 1 1 8, 2θ 43.96, I 58
hkl 2 0 -8, 2θ 39.64, I 41
hkl 1 1 2, 2θ 36.10, I 23
hkl 2 0 -2, 2θ 33.16, I 23
hkl 3 1 0, 2θ 60.56, I 19
hkl 1 1 -16, 2θ 60.78, I 19
hkl 1 1 -10, 2θ 46.19, I 11
hkl 1 1 14, 2θ 57.71, I 9
hkl 0 0 4, 2θ 11.94, I 8

---

# 3
Starting from the PBE+U geometry in the Materials Project, the powder diffractogram of Cs6Si2NiO8 was simulated for copper Kα.
No peak broadening, texture or thermal motion is included.

Cell and atoms:
a = 6.9988 Å, b = 7.1615 Å, c = 8.0977 Å
α = 87.49°, β = 88.53°, γ = 69.33°
Space group P-1 (No. 2)
One atom of each set of equivalent atoms:
Cs: 0.1598 0.3305 0.1673 (multiplicity 2)
Cs: 0.2208 0.7093 0.4778 (multiplicity 2)
Cs: 0.2981 0.7975 0.9891 (multiplicity 2)
Si: 0.2789 0.2365 0.7224 (multiplicity 2)
Ni: 0.5000 0.0000 0.5000 (multiplicity 1)
O: 0.0790 0.2031 0.8116 (multiplicity 2)
O: 0.2661 0.2437 0.5140 (multiplicity 2)
O: 0.3158 0.4331 0.7925 (multiplicity 2)
O: 0.4917 0.0300 0.7360 (multiplicity 2)

Principal peaks in the range 10° ≤ 2θ ≤ 90°, by intensity:
hkl -1 1 2, 2θ 31.10, I 100
hkl 1 2 1, 2θ 27.12, I 95
hkl 2 1 -1, 2θ 28.35, I 82
hkl 0 2 0, 2θ 26.63, I 76
hkl 1 1 -2, 2θ 27.38, I 70
hkl 1 1 2, 2θ 26.30, I 70
hkl 2 0 0, 2θ 27.24, I 67
hkl 2 2 0, 2θ 30.74, I 64
hkl 1 -1 0, 2θ 22.08, I 44
hkl 0 1 -2, 2θ 26.16, I 42

---

# 4
Starting from the PBE+U geometry in the Materials Project, the powder diffractogram of LiMnO3 was simulated for copper Kα.
No peak broadening, texture or thermal motion is included.

Cell and atoms:
a = 5.1540 Å, b = 7.0763 Å, c = 5.0218 Å
α = 90.00°, β = 90.00°, γ = 90.00°
Space group Pnma (No. 62)
One atom of each set of equivalent atoms:
Li: 0.0546 0.2500 0.0002 (multiplicity 4)
Mn: 0.0000 0.0000 0.5000 (multiplicity 4)
O: 0.0527 0.7500 0.3714 (multiplicity 4)
O: 0.1832 0.5693 0.8231 (multiplicity 8)

Principal peaks in the range 10° ≤ 2θ ≤ 90°, by intensity:
hkl 1 0 1, 2θ 24.75, I 100
hkl 1 2 1, 2θ 35.59, I 50
hkl 0 2 0, 2θ 25.17, I 47
hkl 1 2 3, 2θ 64.14, I 22
hkl 2 0 2, 2θ 50.77, I 20
hkl 1 4 1, 2θ 58.11, I 19
hkl 2 2 2, 2θ 57.48, I 19
hkl 2 0 0, 2θ 34.81, I 16
hkl 3 2 1, 2θ 62.92, I 14
hkl 3 0 1, 2θ 56.62, I 14